(1)
Starting from the PBE geometry in Alexandria, the powder XRD pattern of Sb5O7F was calculated for Cu Kα (weighted mean of Kα1 and Kα2).
Intensities are scaled so that the largest is 100.

Largest 10 diffraction maxima, in order of rising 2θ, 10° ≤ 2θ ≤ 80°:
two_theta	d (Å)	I (rel.)
11.3	7.829	25
13.5	6.579	15
20.5	4.337	15
28.1	3.178	100
29.4	3.035	24
32.7	2.743	21
34.4	2.610	22
45.9	1.979	17
51.4	1.778	17
57.8	1.596	15

Cell and atoms:
a b c (Å): 14.6891 14.6891 14.6891
angles (deg): 159.08 115.59 68.53
Fractional positions:
Sb  0.0074  0.5165  0.6674
Sb  0.0463  0.2963  0.7500
Sb  0.1123  0.2272  0.9511
Sb  0.1510  0.9835  0.9909
Sb  0.2239  0.8388  0.4511
Sb  0.2761  0.7272  0.6149
Sb  0.3490  0.3399  0.8326
Sb  0.3877  0.3388  0.1149
Sb  0.4537  0.2037  0.2500
Sb  0.4926  0.1601  0.5091
Sb  0.5074  0.8399  0.4909
Sb  0.5463  0.7963  0.7500
Sb  0.6123  0.6612  0.8851
Sb  0.6510  0.6601  0.1674
Sb  0.7239  0.2728  0.3851
Sb  0.7761  0.1612  0.5489
Sb  0.8490  0.0165  0.0091
Sb  0.8877  0.7728  0.0489
Sb  0.9537  0.7037  0.2500
Sb  0.9926  0.4835  0.3326
O  0.0237  0.1237  0.0262
O  0.0753  0.4679  0.0524
O  0.0798  0.5438  0.3164
O  0.0844  0.9770  0.5524
O  0.0974  0.6237  0.6000
O  0.2274  0.0438  0.9640
O  0.2500  0.4470  0.1970
O  0.2500  0.9470  0.6970
O  0.2726  0.2366  0.8164
O  0.4026  0.0026  0.5262
O  0.4156  0.9679  0.8926
O  0.4202  0.7366  0.4640
O  0.4247  0.4770  0.3926
O  0.4763  0.5026  0.1000
O  0.5237  0.4974  0.9000
O  0.5753  0.5230  0.6074
O  0.5798  0.2634  0.5360
O  0.5844  0.0321  0.1074
O  0.5974  0.9974  0.4738
O  0.7274  0.7634  0.1836
O  0.7500  0.0530  0.3030
O  0.7500  0.5530  0.8030
O  0.7726  0.9562  0.0360
O  0.9026  0.3763  0.4000
O  0.9156  0.0230  0.4476
O  0.9202  0.4562  0.6836
O  0.9247  0.5321  0.9476
O  0.9763  0.8763  0.9738
F  0.0931  0.8431  0.2500
F  0.4069  0.6569  0.7500
F  0.5931  0.3431  0.2500
F  0.9069  0.1569  0.7500



(2)
Starting from the PBE geometry in Alexandria, the powder XRD pattern of Sb5O7F was calculated for Cu Kα (weighted mean of Kα1 and Kα2).
Intensities are scaled so that the largest is 100.

Largest 10 diffraction maxima, in order of rising 2θ, 10° ≤ 2θ ≤ 80°:
two_theta	d (Å)	I (rel.)
13.5	6.576	61
14.6	6.062	38
15.1	5.877	70
25.3	3.514	67
26.6	3.349	100
27.4	3.255	48
29.1	3.064	98
29.9	2.992	50
33.0	2.718	53
46.3	1.959	52

Cell and atoms:
a b c (Å): 6.7184 13.1525 13.8607
angles (deg): 90.00 118.98 90.00
Fractional positions:
Sb  0.0358  0.2349  0.4458
Sb  0.0358  0.2651  0.9458
Sb  0.3082  0.5475  0.5594
Sb  0.3082  0.9525  0.0594
Sb  0.3368  0.2469  0.7464
Sb  0.3368  0.2531  0.2464
Sb  0.3436  0.7392  0.4056
Sb  0.3436  0.7608  0.9056
Sb  0.3679  0.5638  0.0964
Sb  0.3679  0.9362  0.5964
Sb  0.6321  0.0638  0.4036
Sb  0.6321  0.4362  0.9036
Sb  0.6564  0.2392  0.0944
Sb  0.6564  0.2608  0.5944
Sb  0.6632  0.7469  0.7536
Sb  0.6632  0.7531  0.2536
Sb  0.6918  0.0475  0.9406
Sb  0.6918  0.4525  0.4406
Sb  0.9642  0.7349  0.0542
Sb  0.9642  0.7651  0.5542
O  0.0356  0.6132  0.9956
O  0.0356  0.8868  0.4956
O  0.1149  0.6761  0.4897
O  0.1149  0.8239  0.9897
O  0.3450  0.2466  0.5990
O  0.3450  0.2534  0.0990
O  0.3577  0.6798  0.1933
O  0.3577  0.8202  0.6933
O  0.4701  0.6041  0.4797
O  0.4701  0.8959  0.9797
O  0.4972  0.1094  0.7956
O  0.4971  0.1710  0.4625
O  0.4971  0.3290  0.9625
O  0.4972  0.3906  0.2956
O  0.5028  0.6094  0.7044
O  0.5029  0.6710  0.0375
O  0.5029  0.8290  0.5375
O  0.5028  0.8906  0.2044
O  0.5299  0.1041  0.0203
O  0.5299  0.3959  0.5203
O  0.6423  0.1798  0.3067
O  0.6423  0.3202  0.8067
O  0.6550  0.7466  0.9010
O  0.6550  0.7534  0.4010
O  0.8851  0.1761  0.0103
O  0.8851  0.3239  0.5103
O  0.9644  0.1132  0.5044
O  0.9644  0.3868  0.0044
F  0.2780  0.0749  0.2591
F  0.2780  0.4251  0.7591
F  0.7220  0.5749  0.2409
F  0.7220  0.9251  0.7409



(3)
Starting from the PBE geometry in Alexandria, the powder XRD pattern of Sb3O2F5 was calculated for Cu Kα (weighted mean of Kα1 and Kα2).
Intensities are scaled so that the largest is 100.

Largest 10 diffraction maxima, in order of rising 2θ, 10° ≤ 2θ ≤ 80°:
two_theta	d (Å)	I (rel.)
17.7	5.005	43
20.3	4.375	17
23.8	3.736	100
25.7	3.464	45
28.1	3.176	27
28.4	3.141	20
31.9	2.807	14
41.2	2.189	14
41.4	2.181	16
46.1	1.967	23

Cell and atoms:
a b c (Å): 13.4913 6.0441 9.5079
angles (deg): 90.00 109.98 90.00
Fractional positions:
Sb  0.0000  0.0648  0.2500
Sb  0.0000  0.9352  0.7500
Sb  0.2089  0.4347  0.1092
Sb  0.2089  0.5653  0.6092
Sb  0.3619  0.0424  0.4078
Sb  0.3619  0.9576  0.9078
Sb  0.5000  0.3722  0.2500
Sb  0.5000  0.6278  0.7500
Sb  0.6381  0.0424  0.0922
Sb  0.6381  0.9576  0.5922
Sb  0.7911  0.4347  0.3908
Sb  0.7911  0.5653  0.8908
O  0.3384  0.2562  0.2158
O  0.3384  0.7438  0.7158
O  0.4918  0.1559  0.0812
O  0.4918  0.8441  0.5812
O  0.5082  0.1559  0.4188
O  0.5082  0.8441  0.9188
O  0.6616  0.2562  0.2842
O  0.6616  0.7438  0.7842
F  0.0487  0.2867  0.4108
F  0.0487  0.7133  0.9108
F  0.1467  0.1415  0.2222
F  0.1467  0.8585  0.7222
F  0.1553  0.2231  0.9415
F  0.1553  0.7769  0.4415
F  0.2979  0.4529  0.4909
F  0.2979  0.5471  0.9909
F  0.3586  0.2062  0.7695
F  0.3586  0.7938  0.2695
F  0.6414  0.2062  0.7305
F  0.6414  0.7938  0.2305
F  0.7021  0.4529  0.0091
F  0.7021  0.5471  0.5091
F  0.8447  0.2231  0.5585
F  0.8447  0.7769  0.0585
F  0.8533  0.1415  0.2778
F  0.8533  0.8585  0.7778
F  0.9513  0.2867  0.0892
F  0.9513  0.7133  0.5892



(4)
Starting from the PBE geometry in Alexandria, the powder XRD pattern of Sb5O7F was calculated for Cu Kα (weighted mean of Kα1 and Kα2).
Intensities are scaled so that the largest is 100.

Largest 10 diffraction maxima, in order of rising 2θ, 10° ≤ 2θ ≤ 80°:
two_theta	d (Å)	I (rel.)
13.2	6.712	92
14.6	6.088	58
25.8	3.457	78
26.3	3.388	86
27.1	3.292	45
27.6	3.230	84
28.4	3.140	53
28.9	3.084	100
29.5	3.024	45
43.5	2.079	66

Cell and atoms:
a b c (Å): 4.1595 10.3388 13.0322
angles (deg): 71.68 82.53 78.97
Fractional positions:
Sb  0.0523  0.2982  0.1185
Sb  0.0935  0.0133  0.3625
Sb  0.3064  0.2655  0.5923
Sb  0.3266  0.0626  0.8528
Sb  0.3752  0.6768  0.0982
Sb  0.6248  0.3232  0.9018
Sb  0.6734  0.9374  0.1472
Sb  0.6936  0.7345  0.4077
Sb  0.9065  0.9867  0.6375
Sb  0.9477  0.7018  0.8815
O  0.1146  0.2916  0.9638
O  0.1299  0.0929  0.1950
O  0.1621  0.8077  0.3862
O  0.2486  0.2564  0.7573
O  0.2871  0.8763  0.0895
O  0.3855  0.0447  0.6746
O  0.4308  0.7015  0.9310
O  0.5692  0.2985  0.0690
O  0.6145  0.9553  0.3254
O  0.7129  0.1237  0.9105
O  0.7514  0.7436  0.2427
O  0.8379  0.1923  0.6138
O  0.8701  0.9071  0.8050
O  0.8854  0.7084  0.0362
F  0.4166  0.1760  0.4624
F  0.5834  0.8240  0.5376



(5)
Starting from the PBE geometry in Alexandria, the powder XRD pattern of SbOF3 was calculated for Cu Kα (weighted mean of Kα1 and Kα2).
Intensities are scaled so that the largest is 100.

Largest 10 diffraction maxima, in order of rising 2θ, 10° ≤ 2θ ≤ 80°:
two_theta	d (Å)	I (rel.)
18.7	4.739	80
23.5	3.788	100
25.2	3.532	91
32.0	2.800	41
37.0	2.431	15
38.0	2.369	23
43.8	2.066	20
47.8	1.903	15
51.2	1.783	25
53.9	1.701	19

Cell and atoms:
a b c (Å): 3.8067 4.1319 9.4780
angles (deg): 90.00 90.00 90.00
Fractional positions:
Sb  0.0000  0.0000  0.0000
Sb  0.5000  0.5000  0.5000
O  0.0000  0.5000  0.5000
O  0.5000  0.0000  0.0000
F  0.0000  0.0000  0.1991
F  0.0000  0.0000  0.8009
F  0.0000  0.5000  0.0000
F  0.5000  0.0000  0.5000
F  0.5000  0.5000  0.3009
F  0.5000  0.5000  0.6991



(6)
Starting from the PBE geometry in Alexandria, the powder XRD pattern of SbOF was calculated for Cu Kα (weighted mean of Kα1 and Kα2).
Intensities are scaled so that the largest is 100.

Largest 10 diffraction maxima, in order of rising 2θ, 10° ≤ 2θ ≤ 80°:
two_theta	d (Å)	I (rel.)
19.7	4.507	38
22.0	4.037	26
23.1	3.849	20
25.6	3.474	100
26.6	3.347	24
30.8	2.902	13
34.6	2.595	14
38.2	2.354	20
43.0	2.106	21
48.4	1.880	14

Cell and atoms:
a b c (Å): 5.4509 13.9620 11.8057
angles (deg): 90.00 90.00 90.00
Fractional positions:
Sb  0.1599  0.2183  0.1009
Sb  0.1599  0.2817  0.6009
Sb  0.2474  0.5461  0.8360
Sb  0.2474  0.9539  0.3360
Sb  0.2526  0.0461  0.8360
Sb  0.2526  0.4539  0.3360
Sb  0.3401  0.7183  0.1009
Sb  0.3401  0.7817  0.6009
Sb  0.6599  0.2183  0.3991
Sb  0.6599  0.2817  0.8991
Sb  0.7474  0.5461  0.6640
Sb  0.7474  0.9539  0.1640
Sb  0.7526  0.0461  0.6640
Sb  0.7526  0.4539  0.1640
Sb  0.8401  0.7183  0.3991
Sb  0.8401  0.7817  0.8991
O  0.0518  0.6137  0.7147
O  0.0518  0.8863  0.2147
O  0.1197  0.7058  0.9651
O  0.1197  0.7942  0.4651
O  0.3803  0.2058  0.9651
O  0.3803  0.2942  0.4651
O  0.4482  0.1137  0.7147
O  0.4482  0.3863  0.2147
O  0.5518  0.6137  0.7853
O  0.5518  0.8863  0.2853
O  0.6197  0.7058  0.5349
O  0.6197  0.7942  0.0349
O  0.8803  0.2058  0.5349
O  0.8803  0.2942  0.0349
O  0.9482  0.1137  0.7853
O  0.9482  0.3863  0.2853
F  0.0092  0.6021  0.4562
F  0.0092  0.8979  0.9562
F  0.1475  0.5590  0.2216
F  0.1475  0.9410  0.7216
F  0.3525  0.0590  0.2216
F  0.3525  0.4410  0.7216
F  0.4908  0.1021  0.4562
F  0.4908  0.3979  0.9562
F  0.5092  0.6021  0.0438
F  0.5092  0.8979  0.5438
F  0.6475  0.5590  0.2784
F  0.6475  0.9410  0.7784
F  0.8525  0.0590  0.2784
F  0.8525  0.4410  0.7784
F  0.9908  0.1021  0.0438
F  0.9908  0.3979  0.5438